[1]
Li15Ge: theoretical powder XRD pattern (a wavelength of 1.5418 Å), based on DFT lattice parameters and positions (GGA-PBE).
Intensities are scaled so that the largest is 100.

Top 10 peaks for 2θ from 10° to 90°, in order of falling intensity:
(1 0 1), 2θ = 19.5°, I 100
(1 0 0), 2θ = 17.2°, I 67
(2 0 2), 2θ = 39.6°, I 58
(1 0 2), 2θ = 25.2°, I 50
(1 1 3), 2θ = 41.2°, I 31
(1 1 1), 2θ = 31.4°, I 28
(1 0 3), 2θ = 32.7°, I 24
(2 0 0), 2θ = 34.8°, I 22
(1 1 2), 2θ = 35.4°, I 21
(2 0 1), 2θ = 36.0°, I 20

```
Li15Ge
1.0
5.959 0.000 0.000
-2.979 5.160 0.000
0.000 0.000 9.703
Li Ge
15 1
Direct
0.000 0.000 0.000 Li
0.004 0.502 0.500 Li
0.320 0.160 0.266 Li
0.320 0.160 0.734 Li
0.333 0.667 0.233 Li
0.333 0.667 0.767 Li
0.498 0.502 0.500 Li
0.498 0.996 0.500 Li
0.505 0.010 0.000 Li
0.505 0.495 0.000 Li
0.840 0.160 0.266 Li
0.840 0.160 0.734 Li
0.840 0.680 0.266 Li
0.840 0.680 0.734 Li
0.990 0.495 0.000 Li
0.000 0.000 0.500 Ge
```

[2]
YTm2Nb: theoretical powder XRD pattern (a wavelength of 1.5418 Å), based on DFT lattice parameters and positions (GGA-PBE).
Intensities are scaled so that the largest is 100.

Top 10 peaks for 2θ from 10° to 90°, in order of falling intensity:
(0 1 2), 2θ = 31.9°, I 100
(0 0 12), 2θ = 31.1°, I 78
(1 0 1), 2θ = 31.6°, I 71
(0 1 5), 2θ = 34.1°, I 54
(1 1 12), 2θ = 65.5°, I 54
(1 0 10), 2θ = 41.2°, I 50
(1 0 7), 2θ = 36.5°, I 45
(1 1 0), 2θ = 56.1°, I 43
(0 0 6), 2θ = 15.4°, I 31
(0 1 11), 2θ = 42.9°, I 31

```
YTm2Nb
1.0
3.280 0.000 0.000
-1.640 2.840 0.000
0.000 0.000 34.517
Y Tm Nb
3 6 3
Direct
0.000 0.000 0.000 Y
0.333 0.667 0.667 Y
0.667 0.333 0.333 Y
0.000 0.000 0.417 Tm
0.000 0.000 0.583 Tm
0.333 0.667 0.083 Tm
0.333 0.667 0.250 Tm
0.667 0.333 0.750 Tm
0.667 0.333 0.917 Tm
0.000 0.000 0.500 Nb
0.333 0.667 0.167 Nb
0.667 0.333 0.833 Nb
```

[3]
VNi2P3: theoretical powder XRD pattern (a wavelength of 1.5418 Å), based on DFT lattice parameters and positions (GGA-PBE).
Intensities are scaled so that the largest is 100.

Top 10 peaks for 2θ from 10° to 90°, in order of falling intensity:
(1 3 1), 2θ = 45.3°, I 100
(1 1 2), 2θ = 45.7°, I 58
(1 2 2), 2θ = 49.4°, I 42
(2 0 0), 2θ = 56.8°, I 41
(1 2 0), 2θ = 34.5°, I 40
(0 0 2), 2θ = 34.2°, I 32
(0 3 1), 2θ = 35.2°, I 32
(0 3 2), 2θ = 46.6°, I 29
(1 1 0), 2θ = 29.4°, I 29
(1 0 2), 2θ = 44.5°, I 23

```
VNi2P3
1.0
3.239 0.000 0.000
0.000 8.747 0.000
0.000 0.000 5.239
V Ni P
2 4 6
Direct
0.000 0.108 0.000 V
0.000 0.892 0.500 V
0.000 0.224 0.498 Ni
0.000 0.776 0.998 Ni
0.500 0.473 0.516 Ni
0.500 0.527 0.016 Ni
0.000 0.379 0.834 P
0.000 0.621 0.334 P
0.500 0.072 0.665 P
0.500 0.284 0.199 P
0.500 0.716 0.699 P
0.500 0.928 0.165 P
```

[4]
TiAlCu3: theoretical powder XRD pattern (a wavelength of 1.5418 Å), based on DFT lattice parameters and positions (GGA-PBE).
Intensities are scaled so that the largest is 100.

Top 10 peaks for 2θ from 10° to 90°, in order of falling intensity:
(2 0 -1), 2θ = 42.8°, I 100
(0 2 0), 2θ = 42.6°, I 21
(2 2 -1), 2θ = 62.0°, I 12
(1 3 2), 2θ = 78.1°, I 12
(3 1 1), 2θ = 78.4°, I 11
(3 1 -4), 2θ = 78.5°, I 11
(1 1 -1), 2θ = 30.5°, I 6
(0 0 5), 2θ = 62.2°, I 6
(0 0 2), 2θ = 23.9°, I 5
(0 0 1), 2θ = 11.9°, I 4

```
TiAlCu3
1.0
4.221 0.000 0.000
0.000 4.245 0.000
-2.109 0.000 7.457
Ti Al Cu
2 2 6
Direct
0.148 0.250 0.297 Ti
0.852 0.750 0.703 Ti
0.354 0.250 0.707 Al
0.646 0.750 0.293 Al
0.047 0.750 0.093 Cu
0.247 0.750 0.496 Cu
0.455 0.750 0.911 Cu
0.545 0.250 0.089 Cu
0.753 0.250 0.504 Cu
0.953 0.250 0.907 Cu
```

[5]
CeMn2GaGe2: theoretical powder XRD pattern (a wavelength of 1.5418 Å), based on DFT lattice parameters and positions (GGA-PBE).
Intensities are scaled so that the largest is 100.

Top 10 peaks for 2θ from 10° to 90°, in order of falling intensity:
(1 0 2), 2θ = 37.4°, I 100
(2 0 0), 2θ = 40.1°, I 71
(2 1 2), 2θ = 56.0°, I 61
(1 1 0), 2θ = 28.1°, I 52
(1 1 1), 2θ = 32.3°, I 43
(2 2 0), 2θ = 58.1°, I 23
(3 2 2), 2θ = 85.0°, I 18
(2 0 4), 2θ = 79.7°, I 17
(3 0 2), 2θ = 71.1°, I 15
(3 1 1), 2θ = 68.0°, I 12

```
CeMn2GaGe2
1.0
4.493 0.000 0.000
0.000 4.493 0.000
0.000 0.000 5.696
Ce Mn Ga Ge
1 2 1 2
Direct
0.000 0.000 0.000 Ce
0.000 0.500 0.500 Mn
0.500 0.000 0.500 Mn
0.000 0.000 0.500 Ga
0.500 0.500 0.234 Ge
0.500 0.500 0.766 Ge
```

[6]
Nb2V2CuRu5: theoretical powder XRD pattern (a wavelength of 1.5418 Å), based on DFT lattice parameters and positions (GGA-PBE).
Intensities are scaled so that the largest is 100.

Top 10 peaks for 2θ from 10° to 90°, in order of falling intensity:
(3 1 1), 2θ = 41.3°, I 100
(3 3 0), 2θ = 38.4°, I 51
(4 1 0), 2θ = 37.3°, I 42
(2 2 1), 2θ = 39.2°, I 39
(4 0 1), 2θ = 47.3°, I 29
(3 2 1), 2θ = 44.4°, I 19
(0 0 2), 2θ = 61.1°, I 16
(2 0 1), 2θ = 34.6°, I 15
(3 3 2), 2θ = 74.5°, I 14
(6 0 0), 2θ = 55.4°, I 14

```
Nb2V2CuRu5
1.0
9.944 0.000 0.000
0.000 9.944 0.000
0.000 0.000 3.035
Nb V Cu Ru
4 4 2 10
Direct
0.176 0.324 0.000 Nb
0.324 0.824 0.000 Nb
0.676 0.176 0.000 Nb
0.824 0.676 0.000 Nb
0.139 0.639 0.000 V
0.361 0.139 0.000 V
0.639 0.861 0.000 V
0.861 0.361 0.000 V
0.000 0.000 0.000 Cu
0.500 0.500 0.000 Cu
0.000 0.500 0.500 Ru
0.036 0.797 0.500 Ru
0.203 0.036 0.500 Ru
0.297 0.536 0.500 Ru
0.464 0.297 0.500 Ru
0.500 0.000 0.500 Ru
0.536 0.703 0.500 Ru
0.703 0.464 0.500 Ru
0.797 0.964 0.500 Ru
0.964 0.203 0.500 Ru
```

Copy entry 4 word for word.
TiAlCu3: theoretical powder XRD pattern (a wavelength of 1.5418 Å), based on DFT lattice parameters and positions (GGA-PBE).
Intensities are scaled so that the largest is 100.

Top 10 peaks for 2θ from 10° to 90°, in order of falling intensity:
(2 0 -1), 2θ = 42.8°, I 100
(0 2 0), 2θ = 42.6°, I 21
(2 2 -1), 2θ = 62.0°, I 12
(1 3 2), 2θ = 78.1°, I 12
(3 1 1), 2θ = 78.4°, I 11
(3 1 -4), 2θ = 78.5°, I 11
(1 1 -1), 2θ = 30.5°, I 6
(0 0 5), 2θ = 62.2°, I 6
(0 0 2), 2θ = 23.9°, I 5
(0 0 1), 2θ = 11.9°, I 4

```
TiAlCu3
1.0
4.221 0.000 0.000
0.000 4.245 0.000
-2.109 0.000 7.457
Ti Al Cu
2 2 6
Direct
0.148 0.250 0.297 Ti
0.852 0.750 0.703 Ti
0.354 0.250 0.707 Al
0.646 0.750 0.293 Al
0.047 0.750 0.093 Cu
0.247 0.750 0.496 Cu
0.455 0.750 0.911 Cu
0.545 0.250 0.089 Cu
0.753 0.250 0.504 Cu
0.953 0.250 0.907 Cu
```